Record 1
Na2Sb2Au3: computed PXRD pattern (λ = 1.5418 Å (Cu Kα)), based on a cell relaxed with GGA-PBE.
Lines closer than 0.1° are merged.

Cell and atoms:
Cell: 13.8646 4.2836 6.1150 Å, 90.00 90.24 90.00°
Space group C2/m (No. 12)
Unique sites:
Na 0.1533 0.0000 0.3702
Sb 0.0949 0.5000 0.7721
Au 0.0000 0.0000 0.0000
Au 0.2103 0.0000 0.8881

Top 10 peaks for 2θ from 15° to 90°, by intensity:
2θ/deg	I (rel.)	(hkl)
36.7	100	1 1 2
38.7	94	5 1 0
19.3	79	2 0 -1
32.0	71	3 1 -1
41.5	62	5 1 1
26.2	44	1 1 1
42.2	43	0 2 0
32.1	37	3 1 1
39.2	35	4 0 -2
50.0	33	1 1 3

=====

Record 2
Er12Co6Te: computed PXRD pattern (λ = 1.5418 Å (Cu Kα)), based on a cell relaxed with GGA-PBE.
Lines closer than 0.1° are merged.

Cell and atoms:
Cell: 9.6084 9.6084 9.6084 Å, 90.00 90.00 90.00°
Space group Im-3 (No. 204)
Unique sites:
Er 0.0000 0.1976 0.3063
Co 0.0000 0.3867 0.5000
Te 0.0000 0.0000 0.0000

Top 10 peaks for 2θ from 15° to 90°, by intensity:
2θ/deg	I (rel.)	(hkl)
34.9	100	3 2 1
32.3	58	2 2 2
29.4	50	3 1 0
59.3	42	5 3 2
55.8	38	5 0 3
48.3	26	5 1 0
37.4	22	4 0 0
69.1	21	5 4 3
87.3	19	7 5 0
85.8	17	8 2 2

=====

Record 3
NaLiPu2S4: computed PXRD pattern (λ = 1.5418 Å (Cu Kα)), based on a cell relaxed with GGA-PBE.
Lines closer than 0.1° are merged.

Cell and atoms:
Cell: 4.0189 13.0561 13.8790 Å, 90.00 90.00 90.00°
Space group Cmcm (No. 63)
Unique sites:
Na 0.0000 0.1043 0.2500
Li 0.0000 0.1599 0.7500
Pu 0.0000 0.3673 0.0616
S 0.0000 0.0000 0.0000
S 0.0000 0.2656 0.6110
S 0.0000 0.4388 0.2500

Top 10 peaks for 2θ from 15° to 90°, by intensity:
2θ/deg	I (rel.)	(hkl)
30.3	100	1 3 0
23.6	92	0 2 3
33.0	53	1 3 2
45.8	51	1 5 3
23.2	50	1 1 0
35.1	39	0 2 5
40.1	38	1 1 5
58.4	30	2 2 5
27.3	28	0 4 0
26.5	27	1 1 2

=====

Record 4
TmSn3Rh: computed PXRD pattern (λ = 1.5418 Å (Cu Kα)), based on a cell relaxed with GGA-PBE.
Lines closer than 0.1° are merged.

Cell and atoms:
Cell: 4.5693 16.2986 6.7104 Å, 90.00 90.00 90.00°
Space group Ama2 (No. 40)
Unique sites:
Tm 0.2500 0.0947 0.0000
Sn 0.2500 0.0726 0.4885
Sn 0.2500 0.2836 0.7874
Sn 0.2500 0.3318 0.2192
Rh 0.2500 0.4434 0.7358

Top 10 peaks for 2θ from 15° to 90°, by intensity:
2θ/deg	I (rel.)	(hkl)
35.0	100	1 2 2
29.4	39	1 4 0
39.4	34	2 0 0
36.4	30	1 5 1
28.8	18	0 2 2
68.6	14	3 2 2
69.5	14	2 0 4
42.8	12	0 6 2
24.2	11	1 1 1
41.0	11	0 7 1

=====

Record 5
CaMg2Si2Au7: computed PXRD pattern (λ = 1.5418 Å (Cu Kα)), based on a cell relaxed with GGA-PBE.
Lines closer than 0.1° are merged.

Cell and atoms:
Cell: 6.1569 6.1262 12.8557 Å, 90.00 99.54 90.00°
Space group C2/m (No. 12)
Unique sites:
Ca 0.0000 0.0000 0.0000
Mg 0.1171 0.0000 0.3319
Si 0.0817 0.5000 0.2743
Au 0.0000 0.5000 0.0000
Au 0.1957 0.2459 0.8268
Au 0.2274 0.0000 0.5465

Top 10 peaks for 2θ from 15° to 90°, by intensity:
2θ/deg	I (rel.)	(hkl)
21.0	100	0 0 3
41.7	91	2 2 -1
32.5	82	0 2 2
36.2	50	0 2 3
33.4	47	2 0 -3
39.3	39	2 0 3
30.0	33	0 2 1
29.4	31	2 0 0
37.5	30	2 0 -4
27.8	28	1 1 -3

=====

Record 6
Sc2HgPd4: computed PXRD pattern (λ = 1.5418 Å (Cu Kα)), based on a cell relaxed with GGA-PBE.
Lines closer than 0.1° are merged.

Cell and atoms:
Cell: 4.6338 4.6338 20.0342 Å, 90.00 90.00 120.00°
Space group R-3m (No. 166, hexagonal axes)
Unique sites:
Sc 0.0000 0.0000 0.2306
Hg 0.0000 0.0000 0.5000
Pd 0.0000 0.0000 0.0784
Pd 0.0000 0.0000 0.3598

Top 10 peaks for 2θ from 15° to 90°, by intensity:
2θ/deg	I (rel.)	(hkl)
38.9	100	1 1 0
38.6	93	1 0 7
70.2	31	2 1 7
56.0	31	0 2 7
23.9	24	0 1 2
31.6	21	0 1 5
70.4	17	3 0 0
22.6	14	1 0 1
69.8	12	0 1 14
83.4	11	2 2 0

=====

Record 7
UHgPdO6: computed PXRD pattern (λ = 1.5418 Å (Cu Kα)), based on a cell relaxed with GGA-PBE.
Lines closer than 0.1° are merged.

Cell and atoms:
Cell: 5.4170 5.4170 10.1185 Å, 90.00 90.00 120.00°
Space group P-31c (No. 163)
Unique sites:
U 0.3333 0.6667 0.2500
Hg 0.0000 0.0000 0.0000
Pd 0.3333 0.6667 0.7500
O 0.0071 0.3605 0.6399

Top 10 peaks for 2θ from 15° to 90°, by intensity:
2θ/deg	I (rel.)	(hkl)
25.9	100	1 0 2
33.1	47	1 1 0
49.3	43	1 1 4
42.5	27	2 0 2
54.9	26	2 1 2
59.1	14	3 0 0
20.9	12	1 0 1
35.5	11	0 0 4
58.1	11	1 0 6
75.4	11	4 -1 2

=====

Number 6 is which compound?
Sc2HgPd4